Simulated X-ray powder pattern
Compound: Pr4Ir2Pd
Radiation: Cu Kα X-rays
Structure: a PBE-relaxed structure
Neutral-atom scattering factors, no anomalous dispersion.

Cell and atoms:
```
Pr4Ir2Pd
1.0
-4.5173 4.5173 4.4858
4.5173 -4.5173 4.4858
4.5173 4.5173 -4.4858
Pr Ir Pd
8 4 2
direct
0.0076 0.7577 0.1252
0.1174 0.4923 0.7499
0.1176 0.9924 0.7501
0.2423 0.3674 0.2499
0.5077 0.2576 0.6252
0.6324 0.8826 0.3748
0.6326 0.8824 0.8748
0.7424 0.3676 0.2501
0.0049 0.1250 0.3799
0.3750 0.9951 0.1201
0.7451 0.6250 0.6201
0.8750 0.2549 0.8799
0.2500 0.7500 0.5000
0.5000 0.5000 0.0000
```

The 10 most intense peaks (15 to 90 degrees two-theta), in order of falling intensity:
d [Å]  Rel. int.
2.856  100
2.412  47
2.839  43
2.404  28
1.465  20
1.921  18
1.229  17
1.764  16
2.018  15
1.771  13